[1]
Simulated powder diffractogram of Tb12Er7Pu for Cu Kα, 1.54184 Å, from a PBE-relaxed structure.
Lines closer than 0.1° are merged.

Peak list (8 most intense, 10° ≤ 2θ ≤ 80°, in order of rising 2θ)
two_theta  I/Imax  hkl
23.14  21.4  2 -1 3
30.86  100.0  1 3 1
31.05  39.7  0 3 3
31.44  31.0  0 1 5
32.64  84.1  3 1 2
32.92  60.5  2 1 4
34.73  17.7  2 0 5
53.75  20.8  3 4 2

Structural model:
a = 12.3036 Å, b = 12.3036 Å, c = 14.7641 Å
α = 90.00°, β = 90.00°, γ = 120.00°
Space group R-3 (No. 148, hexagonal axes)
Symmetry-distinct sites (fractional):
1 Tb 0.0212 0.5854 0.2112 (multiplicity 18)
2 Tb 0.0412 0.8562 0.3088 (multiplicity 18)
3 Er 0.0000 0.0000 0.5000 (multiplicity 3)
4 Er 0.0688 0.2308 0.9053 (multiplicity 18)
5 Pu 0.0000 0.0000 0.0000 (multiplicity 3)

***

[2]
Simulated powder diffractogram of Tb5Er6Pu2 for Cu Kα, 1.54184 Å, from a PBE-relaxed structure.
Lines closer than 0.1° are merged.

Peak list (8 most intense, 10° ≤ 2θ ≤ 80°, in order of rising 2θ)
two_theta  I/Imax  hkl
31.12  23.0  2 2 1
31.48  56.9  4 1 0
32.09  100.0  1 7 0
32.74  72.1  2 3 1
34.86  28.0  2 4 1
37.24  33.5  3 3 1
62.14  18.9  4 1 2
62.54  18.8  1 7 2

Structural model:
a = 11.4842 Å, b = 20.1013 Å, c = 3.5123 Å
α = 90.00°, β = 90.00°, γ = 90.00°
Space group Pbam (No. 55)
Symmetry-distinct sites (fractional):
1 Tb 0.0000 0.0000 0.0000 (multiplicity 2)
2 Tb 0.0768 0.2717 0.0000 (multiplicity 4)
3 Tb 0.1969 0.5517 0.0000 (multiplicity 4)
4 Er 0.0631 0.4190 0.5000 (multiplicity 4)
5 Er 0.0827 0.1307 0.5000 (multiplicity 4)
6 Er 0.1734 0.8577 0.0000 (multiplicity 4)
7 Pu 0.1730 0.7060 0.5000 (multiplicity 4)

***

[3]
Simulated powder diffractogram of Tb12Er2Pu for Cu Kα, 1.54184 Å, from a PBE-relaxed structure.
Lines closer than 0.1° are merged.

Peak list (8 most intense, 10° ≤ 2θ ≤ 80°, in order of rising 2θ)
two_theta  I/Imax  hkl
28.96  32.4  1 1 -3
31.73  100.0  2 1 1
32.01  75.5  0 2 0
32.17  31.2  2 0 -3
32.61  39.5  2 1 -2
33.11  92.2  0 1 4
46.02  23.8  2 2 -3
56.88  21.5  2 3 1

Structural model:
a = 6.9720 Å, b = 5.5924 Å, c = 12.4155 Å
α = 90.00°, β = 95.21°, γ = 90.00°
Space group P2/m (No. 10)
Symmetry-distinct sites (fractional):
1 Tb 0.0214 0.0000 0.1379 (multiplicity 2)
2 Tb 0.0881 0.5000 0.3198 (multiplicity 2)
3 Tb 0.1758 0.0000 0.6100 (multiplicity 2)
4 Tb 0.2567 0.5000 0.0132 (multiplicity 2)
5 Tb 0.3535 0.0000 0.3611 (multiplicity 2)
6 Tb 0.4654 0.0000 0.8774 (multiplicity 2)
7 Er 0.4225 0.5000 0.7468 (multiplicity 2)
8 Pu 0.5000 0.5000 0.5000 (multiplicity 1)

***

[4]
Simulated powder diffractogram of TbEr6Pu for Cu Kα, 1.54184 Å, from a PBE-relaxed structure.
Lines closer than 0.1° are merged.

Peak list (8 most intense, 10° ≤ 2θ ≤ 80°, in order of rising 2θ)
two_theta  I/Imax  hkl
29.10  23.8  0 2 2
31.92  24.8  2 0 0
33.28  100.0  1 0 4
43.73  15.9  2 2 2
51.58  19.5  0 4 0
57.76  21.0  3 0 4
61.95  22.6  2 4 0
62.78  16.3  1 4 4

Structural model:
a = 5.6070 Å, b = 7.0879 Å, c = 12.2758 Å
α = 90.00°, β = 90.00°, γ = 90.00°
Space group Amm2 (No. 38)
Symmetry-distinct sites (fractional):
1 Tb 0.0000 0.0000 0.0000 (multiplicity 2)
2 Er 0.0000 0.0000 0.5030 (multiplicity 2)
3 Er 0.0000 0.2464 0.7536 (multiplicity 4)
4 Er 0.5000 0.0000 0.3358 (multiplicity 2)
5 Er 0.5000 0.2492 0.0870 (multiplicity 4)
6 Pu 0.5000 0.0000 0.8358 (multiplicity 2)

***

[5]
Simulated powder diffractogram of Tb4Er5Pu for Cu Kα, 1.54184 Å, from a PBE-relaxed structure.
Lines closer than 0.1° are merged.

Peak list (8 most intense, 10° ≤ 2θ ≤ 80°, in order of rising 2θ)
two_theta  I/Imax  hkl
29.82  100.0  3 0 1
33.20  47.0  0 0 2
35.22  62.1  3 3 0
49.18  46.9  3 3 2
50.67  20.4  6 0 0
57.23  18.5  3 0 3
59.91  24.0  6 3 1
61.93  24.2  6 0 2

Structural model:
a = 10.8103 Å, b = 10.8103 Å, c = 5.3960 Å
α = 90.00°, β = 90.00°, γ = 90.00°
Space group I4mm (No. 107)
Symmetry-distinct sites (fractional):
1 Tb 0.0000 0.3236 0.0000 (multiplicity 8)
2 Er 0.0000 0.0000 0.9955 (multiplicity 2)
3 Er 0.1839 0.1839 0.4997 (multiplicity 8)
4 Pu 0.0000 0.0000 0.4947 (multiplicity 2)

***

[6]
Simulated powder diffractogram of Tb3Er2PuTe6 for Cu Kα, 1.54184 Å, from a PBE-relaxed structure.
Lines closer than 0.1° are merged.

Peak list (8 most intense, 10° ≤ 2θ ≤ 80°, in order of rising 2θ)
two_theta  I/Imax  hkl
28.95  100.0  1 1 -2
41.21  12.9  2 0 -4
41.33  25.4  7 1 -2
41.44  25.2  5 1 2
41.62  12.6  0 2 0
51.48  13.5  6 2 0
67.86  11.6  8 2 -4
68.02  11.4  4 2 4

Structural model:
a = 19.0515 Å, b = 4.3394 Å, c = 8.7627 Å
α = 90.00°, β = 103.50°, γ = 90.00°
Space group C2/m (No. 12)
Symmetry-distinct sites (fractional):
1 Tb 0.0000 0.0000 0.0000 (multiplicity 2)
2 Tb 0.1641 0.5000 0.3342 (multiplicity 4)
3 Er 0.1627 0.5000 0.8271 (multiplicity 4)
4 Pu 0.0000 0.0000 0.5000 (multiplicity 2)
5 Te 0.0006 0.5000 0.7527 (multiplicity 4)
6 Te 0.1688 0.0000 0.5870 (multiplicity 4)
7 Te 0.1696 0.0000 0.0802 (multiplicity 4)

***

[7]
Simulated powder diffractogram of ErPuTc for Cu Kα, 1.54184 Å, from a PBE-relaxed structure.
Lines closer than 0.1° are merged.

Peak list (8 most intense, 10° ≤ 2θ ≤ 80°, in order of rising 2θ)
two_theta  I/Imax  hkl
22.06  14.8  1 0 0
33.91  100.0  1 0 1
38.70  70.6  1 1 0
52.22  10.0  0 0 2
52.38  29.7  2 0 1
66.86  28.7  1 1 2
67.00  28.6  2 1 1
70.05  12.5  3 0 0

Structural model:
a = 4.6533 Å, b = 4.6533 Å, c = 3.5032 Å
α = 90.00°, β = 90.00°, γ = 120.00°
Space group P-6m2 (No. 187)
Symmetry-distinct sites (fractional):
1 Er 0.0000 0.0000 0.0000 (multiplicity 1)
2 Pu 0.3333 0.6667 0.5000 (multiplicity 1)
3 Tc 0.6667 0.3333 0.5000 (multiplicity 1)

***

[8]
Simulated powder diffractogram of Er5PuTl6 for Cu Kα, 1.54184 Å, from a PBE-relaxed structure.
Lines closer than 0.1° are merged.

Peak list (8 most intense, 10° ≤ 2θ ≤ 80°, in order of rising 2θ)
two_theta  I/Imax  hkl
30.29  0.6  2 4 -1
33.54  100.0  2 0 -2
48.07  6.1  4 0 0
48.20  12.1  2 6 -2
59.92  19.0  1 3 -3
60.00  18.8  5 3 -3
70.44  7.7  2 6 2
70.55  3.9  4 0 -4

Structural model:
a = 9.2583 Å, b = 16.0188 Å, c = 5.3396 Å
α = 90.00°, β = 125.13°, γ = 90.00°
Space group C2/m (No. 12)
Symmetry-distinct sites (fractional):
1 Er 0.0000 0.0000 0.0000 (multiplicity 2)
2 Er 0.0000 0.1695 0.5000 (multiplicity 4)
3 Er 0.0000 0.3408 0.0000 (multiplicity 4)
4 Pu 0.0000 0.5000 0.5000 (multiplicity 2)
5 Tl 0.2376 0.0000 0.7378 (multiplicity 4)
6 Tl 0.2440 0.1698 0.2443 (multiplicity 8)

***

[9]
Simulated powder diffractogram of Er2PuTl4 for Cu Kα, 1.54184 Å, from a PBE-relaxed structure.
Lines closer than 0.1° are merged.

Peak list (8 most intense, 10° ≤ 2θ ≤ 80°, in order of rising 2θ)
two_theta  I/Imax  hkl
26.90  12.1  1 1 1
33.97  100.0  1 1 2
34.38  50.7  2 0 0
48.20  8.3  0 0 4
49.41  18.6  2 2 0
60.54  16.9  2 0 4
61.32  37.7  3 1 2
71.51  10.4  2 2 4

Structural model:
a = 5.2175 Å, b = 5.2175 Å, c = 7.5519 Å
α = 90.00°, β = 90.00°, γ = 90.00°
Space group P4/mmm (No. 123)
Symmetry-distinct sites (fractional):
1 Er 0.0000 0.0000 0.0000 (multiplicity 1)
2 Er 0.5000 0.5000 0.5000 (multiplicity 1)
3 Pu 0.0000 0.0000 0.5000 (multiplicity 1)
4 Tl 0.0000 0.5000 0.2279 (multiplicity 4)

***

[10]
Simulated powder diffractogram of Er5Tm12Pu for Cu Kα, 1.54184 Å, from a PBE-relaxed structure.
Lines closer than 0.1° are merged.

Peak list (8 most intense, 10° ≤ 2θ ≤ 80°, in order of rising 2θ)
two_theta  I/Imax  hkl
30.79  86.8  2 0 1
31.72  90.1  0 0 6
32.01  37.9  2 0 -3
32.75  100.0  1 3 -3
34.46  99.9  1 3 3
37.56  46.1  2 0 -5
52.28  67.4  0 6 0
62.46  78.7  0 6 6

Structural model:
a = 6.0604 Å, b = 10.4993 Å, c = 17.0473 Å
α = 90.00°, β = 96.83°, γ = 90.00°
Space group C2/m (No. 12)
Symmetry-distinct sites (fractional):
1 Er 0.0000 0.0000 0.0000 (multiplicity 2)
2 Er 0.0000 0.1666 0.5000 (multiplicity 4)
3 Er 0.0000 0.3334 0.0000 (multiplicity 4)
4 Tm 0.1094 0.1667 0.8307 (multiplicity 8)
5 Tm 0.1097 0.5000 0.8314 (multiplicity 4)
6 Tm 0.2192 0.3352 0.6646 (multiplicity 8)
7 Tm 0.2248 0.0000 0.6647 (multiplicity 4)
8 Pu 0.0000 0.5000 0.5000 (multiplicity 2)

***

[11]
Simulated powder diffractogram of Er9Tm4Pu for Cu Kα, 1.54184 Å, from a PBE-relaxed structure.
Lines closer than 0.1° are merged.

Peak list (8 most intense, 10° ≤ 2θ ≤ 80°, in order of rising 2θ)
two_theta  I/Imax  hkl
32.81  55.1  0 0 4
32.96  100.0  2 1 2
33.44  36.2  3 0 1
37.57  12.2  2 2 0
53.52  22.7  3 0 5
57.76  17.2  3 3 0
58.13  19.0  5 0 2
68.05  23.1  3 3 4

Structural model:
a = 9.5769 Å, b = 9.5769 Å, c = 10.9028 Å
α = 90.00°, β = 90.00°, γ = 120.00°
Space group P6_3/mmc (No. 194)
Symmetry-distinct sites (fractional):
1 Er 0.0746 0.5373 0.2500 (multiplicity 6)
2 Er 0.2094 0.4188 0.5323 (multiplicity 12)
3 Tm 0.0000 0.0000 0.0000 (multiplicity 2)
4 Tm 0.1120 0.2241 0.2500 (multiplicity 6)
5 Pu 0.3333 0.6667 0.7500 (multiplicity 2)

***

[12]
Simulated powder diffractogram of Er4Tm8Pu for Cu Kα, 1.54184 Å, from a PBE-relaxed structure.
Lines closer than 0.1° are merged.

Peak list (8 most intense, 10° ≤ 2θ ≤ 80°, in order of rising 2θ)
two_theta  I/Imax  hkl
16.46  6.0  1 1 0
20.20  8.6  0 0 3
33.28  100.0  2 2 0
47.78  18.3  4 0 4
59.44  28.6  6 0 0
59.57  9.4  2 0 8
79.58  8.2  6 2 4
79.69  8.2  4 2 8

Structural model:
a = 10.7776 Å, b = 10.7776 Å, c = 13.1649 Å
α = 90.00°, β = 90.00°, γ = 120.00°
Space group R-3m (No. 166, hexagonal axes)
Symmetry-distinct sites (fractional):
1 Er 0.0000 0.0000 0.0000 (multiplicity 3)
2 Er 0.0000 0.5000 0.0000 (multiplicity 9)
3 Tm 0.0000 0.0000 0.2450 (multiplicity 6)
4 Tm 0.0062 0.5031 0.7479 (multiplicity 18)
5 Pu 0.0000 0.0000 0.5000 (multiplicity 3)